No. 1
Starting from DFT lattice parameters and positions (PBE), the powder diffractogram of Sm3Sc4S8 was calculated for Cu Kα (weighted mean of Kα1 and Kα2).
Neutral-atom scattering factors, no anomalous dispersion.

Structure:
Unit cell a=10.879 b=10.886 c=7.634 alpha=90.00 beta=134.56 gamma=90.00
Space group C2/m (No. 12)
Inequivalent atoms, fractional coordinates:
Sm  0.000  0.000  0.000 (multiplicity 2)
Sm  0.250  0.250  0.500 (multiplicity 4)
Sc  0.000  0.500  0.000 (multiplicity 2)
Sc  0.000  0.500  0.500 (multiplicity 2)
Sc  0.250  0.250  0.000 (multiplicity 4)
S  0.000  0.257  0.500 (multiplicity 4)
S  0.000  0.258  0.000 (multiplicity 4)
S  0.235  0.500  0.483 (multiplicity 4)
S  0.237  0.500  0.989 (multiplicity 4)

Largest 6 diffraction maxima, in order of falling intensity, 2θ = 10–90°:
- (0 4 0), 2θ 32.9, d = 2.720 Å, I 100
- (0 4 2), 2θ 47.2, d = 1.924 Å, I 46
- (2 0 -1), 2θ 16.3, d = 5.439 Å, I 35
- (0 2 1), 2θ 23.1, d = 3.848 Å, I 27
- (0 4 4), 2θ 78.6, d = 1.217 Å, I 19
- (2 2 0), 2θ 28.3, d = 3.157 Å, I 16


No. 2
Starting from DFT lattice parameters and positions (PBE), the powder diffractogram of SmSc3S4 was calculated for Cu Kα (weighted mean of Kα1 and Kα2).
Neutral-atom scattering factors, no anomalous dispersion.

Structure:
Unit cell a=3.7518 b=3.7518 c=37.3573 alpha=90.00 beta=90.00 gamma=120.00
Space group R-3m (No. 166, hexagonal axes)
Inequivalent atoms, fractional coordinates:
Sm  0.0000  0.0000  0.0000 (multiplicity 3)
Sc  0.0000  0.0000  0.2466 (multiplicity 6)
Sc  0.0000  0.0000  0.5000 (multiplicity 3)
S  0.0000  0.0000  0.1269 (multiplicity 6)
S  0.0000  0.0000  0.3816 (multiplicity 6)

Largest 6 diffraction maxima, in order of falling intensity, 2θ = 10–90°:
- (0 1 8), 2θ 33.6, d = 2.667 Å, I 100
- (1 1 0), 2θ 48.5, d = 1.876 Å, I 34
- (1 0 16), 2θ 48.0, d = 1.896 Å, I 32
- (1 0 4), 2θ 29.1, d = 3.069 Å, I 19
- (2 0 8), 2θ 60.3, d = 1.534 Å, I 17
- (1 1 24), 2θ 80.1, d = 1.198 Å, I 15


No. 3
Starting from DFT lattice parameters and positions (PBE), the powder diffractogram of SmTm2ScS4 was calculated for Cu Kα (weighted mean of Kα1 and Kα2).
Neutral-atom scattering factors, no anomalous dispersion.

Structure:
Unit cell a=6.682 b=3.820 c=6.719 alpha=90.00 beta=109.01 gamma=90.00
Space group P2/m (No. 10)
Inequivalent atoms, fractional coordinates:
Sm  0.000  0.000  0.000 (multiplicity 1)
Tm  0.500  0.000  0.500 (multiplicity 1)
Tm  0.500  0.500  0.000 (multiplicity 1)
Sc  0.000  0.500  0.500 (multiplicity 1)
S  0.249  0.000  0.739 (multiplicity 2)
S  0.257  0.500  0.263 (multiplicity 2)

Largest 6 diffraction maxima, in order of falling intensity, 2θ = 10–90°:
- (1 1 1), 2θ 32.9, d = 2.726 Å, I 100
- (1 1 -1), 2θ 28.5, d = 3.129 Å, I 34
- (1 1 -3), 2θ 47.0, d = 1.932 Å, I 24
- (3 1 -1), 2θ 47.2, d = 1.924 Å, I 24
- (0 0 2), 2θ 28.1, d = 3.176 Å, I 18
- (2 0 0), 2θ 28.3, d = 3.159 Å, I 17


No. 4
Starting from DFT lattice parameters and positions (PBE), the powder diffractogram of Tb4Sc3S8 was calculated for Cu Kα (weighted mean of Kα1 and Kα2).
Neutral-atom scattering factors, no anomalous dispersion.

Structure:
Unit cell a=10.811 b=10.817 c=7.607 alpha=90.00 beta=134.71 gamma=90.00
Space group C2/m (No. 12)
Inequivalent atoms, fractional coordinates:
Tb  0.000  0.000  0.000 (multiplicity 2)
Tb  0.000  0.500  0.500 (multiplicity 2)
Tb  0.250  0.250  0.000 (multiplicity 4)
Sc  0.000  0.500  0.000 (multiplicity 2)
Sc  0.250  0.250  0.500 (multiplicity 4)
S  0.000  0.245  0.500 (multiplicity 4)
S  0.000  0.256  0.000 (multiplicity 4)
S  0.249  0.500  0.009 (multiplicity 4)
S  0.249  0.500  0.488 (multiplicity 4)

Largest 6 diffraction maxima, in order of falling intensity, 2θ = 10–90°:
- (0 4 0), 2θ 33.1, d = 2.703 Å, I 100
- (0 4 2), 2θ 47.6, d = 1.912 Å, I 46
- (1 1 -1), 2θ 14.2, d = 6.224 Å, I 32
- (3 1 -1), 2θ 27.3, d = 3.265 Å, I 23
- (2 2 0), 2θ 28.5, d = 3.132 Å, I 23
- (2 2 -2), 2θ 28.7, d = 3.111 Å, I 22


No. 5
Starting from DFT lattice parameters and positions (PBE), the powder diffractogram of Tb5Sc3S8 was calculated for Cu Kα (weighted mean of Kα1 and Kα2).
Neutral-atom scattering factors, no anomalous dispersion.

Structure:
Unit cell a=7.6867 b=7.6867 c=18.8532 alpha=90.00 beta=90.00 gamma=120.00
Space group R-3m (No. 166, hexagonal axes)
Inequivalent atoms, fractional coordinates:
Tb  0.0000  0.0000  0.0000 (multiplicity 3)
Tb  0.0000  0.0000  0.5000 (multiplicity 3)
Tb  0.0000  0.5000  0.0000 (multiplicity 9)
Sc  0.0000  0.5000  0.5000 (multiplicity 9)
S  0.0000  0.0000  0.2439 (multiplicity 6)
S  0.0083  0.5041  0.7541 (multiplicity 18)

Largest 6 diffraction maxima, in order of falling intensity, 2θ = 10–90°:
- (0 2 4), 2θ 32.9, d = 2.719 Å, I 100
- (2 2 0), 2θ 47.3, d = 1.923 Å, I 70
- (0 0 6), 2θ 28.4, d = 3.139 Å, I 59
- (2 4 4), 2θ 78.7, d = 1.216 Å, I 30
- (0 2 10), 2θ 56.1, d = 1.640 Å, I 29
- (4 0 4), 2θ 58.8, d = 1.570 Å, I 24


No. 6
Starting from DFT lattice parameters and positions (PBE), the powder diffractogram of Tb4TmScS8 was calculated for Cu Kα (weighted mean of Kα1 and Kα2).
Neutral-atom scattering factors, no anomalous dispersion.

Structure:
Unit cell a=7.9892 b=7.9892 c=19.5227 alpha=90.00 beta=90.00 gamma=120.00
Space group R3m (No. 160, hexagonal axes)
Inequivalent atoms, fractional coordinates:
Tb  0.0000  0.0000  0.0000 (multiplicity 3)
Tb  0.1711  0.3423  0.2075 (multiplicity 9)
Tm  0.0000  0.0000  0.3782 (multiplicity 3)
Sc  0.0000  0.0000  0.7506 (multiplicity 3)
S  0.0000  0.0000  0.1337 (multiplicity 3)
S  0.0000  0.0000  0.6237 (multiplicity 3)
S  0.0092  0.5046  0.1242 (multiplicity 9)
S  0.1798  0.3595  0.9571 (multiplicity 9)

Largest 6 diffraction maxima, in order of falling intensity, 2θ = 10–90°:
- (0 1 5), 2θ 26.2, d = 3.404 Å, I 100
- (2 0 8), 2θ 45.4, d = 1.996 Å, I 62
- (1 2 5), 2θ 41.6, d = 2.173 Å, I 44
- (0 2 4), 2θ 31.7, d = 2.822 Å, I 35
- (1 0 1), 2θ 13.6, d = 6.519 Å, I 28
- (2 0 2), 2θ 27.4, d = 3.259 Å, I 20


No. 7
Starting from DFT lattice parameters and positions (PBE), the powder diffractogram of Tb3Tm4ScS8 was calculated for Cu Kα (weighted mean of Kα1 and Kα2).
Neutral-atom scattering factors, no anomalous dispersion.

Structure:
Unit cell a=7.7143 b=7.7143 c=18.9409 alpha=90.00 beta=90.00 gamma=120.00
Space group R-3m (No. 166, hexagonal axes)
Inequivalent atoms, fractional coordinates:
Tb  0.0000  0.5000  0.0000 (multiplicity 9)
Tm  0.0000  0.0000  0.5000 (multiplicity 3)
Tm  0.0000  0.5000  0.5000 (multiplicity 9)
Sc  0.0000  0.0000  0.0000 (multiplicity 3)
S  0.0000  0.0000  0.2471 (multiplicity 6)
S  0.0076  0.5038  0.7509 (multiplicity 18)

Largest 6 diffraction maxima, in order of falling intensity, 2θ = 10–90°:
- (0 2 4), 2θ 32.8, d = 2.730 Å, I 100
- (2 0 2), 2θ 28.3, d = 3.152 Å, I 77
- (2 2 0), 2θ 47.1, d = 1.930 Å, I 71
- (2 2 6), 2θ 55.8, d = 1.646 Å, I 28
- (6 0 0), 2θ 87.6, d = 1.114 Å, I 18
- (4 0 4), 2θ 58.6, d = 1.575 Å, I 18


No. 8
Starting from DFT lattice parameters and positions (PBE), the powder diffractogram of Tb4YScS8 was calculated for Cu Kα (weighted mean of Kα1 and Kα2).
Neutral-atom scattering factors, no anomalous dispersion.

Structure:
Unit cell a=8.0071 b=8.0071 c=19.5982 alpha=90.00 beta=90.00 gamma=120.00
Space group R3m (No. 160, hexagonal axes)
Inequivalent atoms, fractional coordinates:
Tb  0.0000  0.0000  0.0000 (multiplicity 3)
Tb  0.1712  0.3423  0.2073 (multiplicity 9)
Y  0.0000  0.0000  0.3786 (multiplicity 3)
Sc  0.0000  0.0000  0.7501 (multiplicity 3)
S  0.0000  0.0000  0.1337 (multiplicity 3)
S  0.0000  0.0000  0.6232 (multiplicity 3)
S  0.0053  0.5027  0.1256 (multiplicity 9)
S  0.1785  0.3570  0.9558 (multiplicity 9)

Largest 6 diffraction maxima, in order of falling intensity, 2θ = 10–90°:
- (0 2 1), 2θ 26.1, d = 3.413 Å, I 100
- (2 0 8), 2θ 45.3, d = 2.001 Å, I 62
- (0 2 7), 2θ 41.4, d = 2.179 Å, I 43
- (0 2 4), 2θ 31.6, d = 2.830 Å, I 32
- (0 0 3), 2θ 13.6, d = 6.535 Å, I 25
- (4 0 7), 2θ 63.1, d = 1.474 Å, I 24


No. 9
Starting from DFT lattice parameters and positions (PBE), the powder diffractogram of Tb3Y4ScS8 was calculated for Cu Kα (weighted mean of Kα1 and Kα2).
Neutral-atom scattering factors, no anomalous dispersion.

Structure:
Unit cell a=7.7971 b=7.7971 c=19.0894 alpha=90.00 beta=90.00 gamma=120.00
Space group R-3m (No. 166, hexagonal axes)
Inequivalent atoms, fractional coordinates:
Tb  0.0000  0.5000  0.0000 (multiplicity 9)
Y  0.0000  0.0000  0.5000 (multiplicity 3)
Y  0.0000  0.5000  0.5000 (multiplicity 9)
Sc  0.0000  0.0000  0.0000 (multiplicity 3)
S  0.0000  0.0000  0.2497 (multiplicity 6)
S  0.0082  0.5041  0.7483 (multiplicity 18)

Largest 6 diffraction maxima, in order of falling intensity, 2θ = 10–90°:
- (0 2 4), 2θ 32.5, d = 2.756 Å, I 100
- (2 2 0), 2θ 46.6, d = 1.949 Å, I 70
- (2 0 2), 2θ 28.0, d = 3.183 Å, I 55
- (2 4 4), 2θ 77.4, d = 1.233 Å, I 30
- (2 2 6), 2θ 55.3, d = 1.662 Å, I 27
- (4 0 4), 2θ 58.0, d = 1.591 Å, I 24


No. 10
Starting from DFT lattice parameters and positions (PBE), the powder diffractogram of Sc3TeS2 was calculated for Cu Kα (weighted mean of Kα1 and Kα2).
Neutral-atom scattering factors, no anomalous dispersion.

Structure:
Unit cell a=6.749 b=10.528 c=7.741 alpha=90.00 beta=90.00 gamma=90.00
Space group Imma (No. 74)
Inequivalent atoms, fractional coordinates:
Sc  0.225  0.000  0.000 (multiplicity 8)
Sc  0.250  0.250  0.250 (multiplicity 4)
Te  0.000  0.250  0.912 (multiplicity 4)
S  0.000  0.063  0.286 (multiplicity 8)

Largest 6 diffraction maxima, in order of falling intensity, 2θ = 10–90°:
- (2 2 2), 2θ 39.3, d = 2.290 Å, I 100
- (1 1 2), 2θ 27.9, d = 3.198 Å, I 93
- (1 0 1), 2θ 17.4, d = 5.087 Å, I 85
- (1 2 1), 2θ 24.3, d = 3.658 Å, I 74
- (2 3 1), 2θ 38.8, d = 2.320 Å, I 59
- (0 4 0), 2θ 34.1, d = 2.632 Å, I 49


No. 11
Starting from DFT lattice parameters and positions (PBE), the powder diffractogram of Sc2TeS6 was calculated for Cu Kα (weighted mean of Kα1 and Kα2).
Neutral-atom scattering factors, no anomalous dispersion.

Structure:
Unit cell a=14.498 b=3.663 c=8.796 alpha=90.00 beta=107.64 gamma=90.00
Space group C2/m (No. 12)
Inequivalent atoms, fractional coordinates:
Sc  0.163  0.000  0.358 (multiplicity 4)
Te  0.000  0.500  0.000 (multiplicity 2)
S  0.026  0.000  0.808 (multiplicity 4)
S  0.155  0.500  0.554 (multiplicity 4)
S  0.176  0.500  0.151 (multiplicity 4)

Largest 6 diffraction maxima, in order of falling intensity, 2θ = 10–90°:
- (2 0 -1), 2θ 13.9, d = 6.360 Å, I 100
- (1 1 -2), 2θ 31.8, d = 2.815 Å, I 64
- (4 0 1), 2θ 30.8, d = 2.899 Å, I 29
- (7 1 -2), 2θ 51.3, d = 1.782 Å, I 25
- (3 1 -3), 2θ 40.6, d = 2.221 Å, I 23
- (3 1 3), 2θ 49.7, d = 1.835 Å, I 18


No. 12
Starting from DFT lattice parameters and positions (PBE), the powder diffractogram of ThScS4 was calculated for Cu Kα (weighted mean of Kα1 and Kα2).
Neutral-atom scattering factors, no anomalous dispersion.

Structure:
Unit cell a=5.275 b=6.684 c=7.368 alpha=90.00 beta=90.00 gamma=90.00
Space group Pmna (No. 53)
Inequivalent atoms, fractional coordinates:
Th  0.000  0.000  0.000 (multiplicity 2)
Sc  0.000  0.500  0.500 (multiplicity 2)
S  0.000  0.165  0.353 (multiplicity 4)
S  0.250  0.308  0.750 (multiplicity 4)

Largest 6 diffraction maxima, in order of falling intensity, 2θ = 10–90°:
- (1 1 1), 2θ 24.7, d = 3.610 Å, I 100
- (0 1 0), 2θ 13.2, d = 6.684 Å, I 57
- (2 0 0), 2θ 34.0, d = 2.637 Å, I 41
- (1 1 3), 2θ 42.8, d = 2.112 Å, I 34
- (0 2 2), 2θ 36.3, d = 2.475 Å, I 32
- (1 3 1), 2θ 45.9, d = 1.977 Å, I 29